Starting from a cell relaxed with PBE, the powder diffraction line list of KGaAs2O8 was calculated for a wavelength of 1.5418 Å.

Principal peaks in the range 15° ≤ 2θ ≤ 90°, low angle first:
two_theta, intensity
24.48, 100
34.43, 18
35.35, 34
43.47, 15
57.22, 16
63.45, 11

Crystal structure
Unit cell a=9.106 b=9.106 c=9.106 alpha=32.39 beta=32.39 gamma=32.39
Fractional positions:
K1 0.000 0.000 0.000
Ga1 0.500 0.500 0.500
As1 0.235 0.235 0.235
As2 0.765 0.765 0.765
O1 0.129 0.484 0.746
O2 0.254 0.516 0.871
O3 0.300 0.300 0.300
O4 0.484 0.746 0.129
O5 0.516 0.871 0.254
O6 0.700 0.700 0.700
O7 0.746 0.129 0.484
O8 0.871 0.254 0.516

---

Starting from a cell relaxed with PBE, the powder diffraction line list of K2Ga2As2S was calculated for a wavelength of 1.5418 Å.

Principal peaks in the range 15° ≤ 2θ ≤ 90°, low angle first:
two_theta, intensity
24.56, 100
29.24, 58
30.98, 48
31.12, 50
42.01, 41
42.14, 49

Crystal structure
Unit cell a=6.559 b=4.243 c=7.486 alpha=90.00 beta=111.35 gamma=90.00
Fractional positions:
K1 0.004 0.000 0.273
K2 0.996 0.000 0.727
Ga1 0.410 0.500 0.140
Ga2 0.590 0.500 0.860
As1 0.454 0.000 0.652
As2 0.546 0.000 0.348
S1 0.000 0.500 0.000

---

Starting from a cell relaxed with PBE, the powder diffraction line list of La2GaAs3Pd4 was calculated for a wavelength of 1.5418 Å.

Principal peaks in the range 15° ≤ 2θ ≤ 90°, low angle first:
two_theta, intensity
32.81, 59
33.83, 100
41.67, 63
47.98, 28
54.02, 28
71.05, 22

Crystal structure
Unit cell a=4.335 b=4.335 c=10.541 alpha=90.00 beta=90.00 gamma=90.00
Fractional positions:
La1 0.000 0.500 0.243
La2 0.500 0.000 0.757
Ga1 0.000 0.000 0.500
As1 0.000 0.500 0.865
As2 0.500 0.000 0.135
As3 0.500 0.500 0.500
Pd1 0.000 0.000 0.000
Pd2 0.000 0.500 0.630
Pd3 0.500 0.000 0.370
Pd4 0.500 0.500 0.000

---

Starting from a cell relaxed with PBE, the powder diffraction line list of Na2LiGaAs2 was calculated for a wavelength of 1.5418 Å.

Principal peaks in the range 15° ≤ 2θ ≤ 90°, low angle first:
two_theta, intensity
17.81, 53
24.48, 100
32.99, 49
39.09, 62
39.72, 57
42.66, 69

Crystal structure
Unit cell a=9.323 b=9.323 c=5.918 alpha=90.00 beta=90.00 gamma=98.66
Fractional positions:
Na1 0.072 0.428 0.750
Na2 0.176 0.824 0.779
Na3 0.324 0.676 0.279
Na4 0.428 0.072 0.250
Na5 0.572 0.928 0.750
Na6 0.676 0.324 0.721
Na7 0.824 0.176 0.221
Na8 0.928 0.572 0.250
Li1 0.119 0.119 0.000
Li2 0.381 0.381 0.500
Li3 0.619 0.619 0.500
Li4 0.881 0.881 0.000
Ga1 0.131 0.131 0.500
Ga2 0.369 0.369 0.000
Ga3 0.631 0.631 0.000
Ga4 0.869 0.869 0.500
As1 0.107 0.893 0.281
As2 0.143 0.357 0.250
As3 0.357 0.143 0.750
As4 0.393 0.607 0.781
As5 0.607 0.393 0.219
As6 0.643 0.857 0.250
As7 0.857 0.643 0.750
As8 0.893 0.107 0.719

---

Starting from a cell relaxed with PBE, the powder diffraction line list of Mg2Ga2As was calculated for a wavelength of 1.5418 Å.

Principal peaks in the range 15° ≤ 2θ ≤ 90°, low angle first:
two_theta, intensity
21.57, 65
33.63, 26
36.07, 100
40.82, 54
46.63, 39
61.54, 31

Crystal structure
Unit cell a=6.991 b=6.991 c=4.120 alpha=90.00 beta=90.00 gamma=90.00
Fractional positions:
Mg1 0.171 0.329 0.000
Mg2 0.329 0.829 0.000
Mg3 0.671 0.171 0.000
Mg4 0.829 0.671 0.000
Ga1 0.131 0.631 0.500
Ga2 0.369 0.131 0.500
Ga3 0.631 0.869 0.500
Ga4 0.869 0.369 0.500
As1 0.000 0.000 0.500
As2 0.500 0.500 0.500

---

Starting from a cell relaxed with PBE, the powder diffraction line list of Sr2MgGa2As4 was calculated for a wavelength of 1.5418 Å.

Principal peaks in the range 15° ≤ 2θ ≤ 90°, low angle first:
two_theta, intensity
26.88, 89
29.13, 100
32.91, 85
33.74, 92
34.18, 59
43.61, 86

Crystal structure
Unit cell a=8.053 b=8.053 c=7.252 alpha=109.05 beta=109.05 gamma=29.87
Fractional positions:
Sr1 0.125 0.125 0.051
Sr2 0.875 0.875 0.949
Mg1 0.000 0.000 0.500
Ga1 0.332 0.332 0.511
Ga2 0.668 0.668 0.489
As1 0.213 0.213 0.703
As2 0.488 0.488 0.750
As3 0.512 0.512 0.250
As4 0.787 0.787 0.297

---

Starting from a cell relaxed with PBE, the powder diffraction line list of Nb8GaAs2 was calculated for a wavelength of 1.5418 Å.

Principal peaks in the range 15° ≤ 2θ ≤ 90°, low angle first:
two_theta, intensity
36.32, 53
36.87, 100
37.14, 54
37.33, 88
40.51, 59
44.14, 49

Crystal structure
Unit cell a=6.838 b=6.838 c=4.954 alpha=100.30 beta=100.30 gamma=113.21
Fractional positions:
Nb1 0.087 0.320 0.613
Nb2 0.240 0.760 0.000
Nb3 0.320 0.087 0.613
Nb4 0.380 0.380 0.162
Nb5 0.620 0.620 0.838
Nb6 0.680 0.913 0.387
Nb7 0.760 0.240 0.000
Nb8 0.913 0.680 0.387
Ga1 0.000 0.000 0.000
As1 0.315 0.685 0.500
As2 0.685 0.315 0.500

---

Starting from a cell relaxed with PBE, the powder diffraction line list of Nd2Ga3AsPt4 was calculated for a wavelength of 1.5418 Å.

Principal peaks in the range 15° ≤ 2θ ≤ 90°, low angle first:
two_theta, intensity
30.22, 29
33.35, 59
33.90, 100
41.32, 74
46.10, 36
54.10, 30

Crystal structure
Unit cell a=4.370 b=4.370 c=10.220 alpha=90.00 beta=90.00 gamma=90.00
Fractional positions:
Nd1 0.000 0.500 0.248
Nd2 0.500 0.000 0.752
Ga1 0.000 0.000 0.000
Ga2 0.000 0.500 0.629
Ga3 0.500 0.000 0.371
As1 0.500 0.500 0.000
Pt1 0.000 0.000 0.500
Pt2 0.000 0.500 0.871
Pt3 0.500 0.000 0.129
Pt4 0.500 0.500 0.500

---

Starting from a cell relaxed with PBE, the powder diffraction line list of Nd3GaAs2Rh8 was calculated for a wavelength of 1.5418 Å.

Principal peaks in the range 15° ≤ 2θ ≤ 90°, low angle first:
two_theta, intensity
32.67, 69
33.52, 54
37.69, 79
39.06, 100
41.81, 84
64.59, 45

Crystal structure
Unit cell a=5.483 b=5.483 c=9.706 alpha=90.00 beta=90.00 gamma=120.00
Fractional positions:
Nd1 0.000 0.000 0.000
Nd2 0.333 0.667 0.562
Nd3 0.667 0.333 0.438
Ga1 0.000 0.000 0.500
As1 0.333 0.667 0.094
As2 0.667 0.333 0.906
Rh1 0.163 0.325 0.280
Rh2 0.163 0.837 0.280
Rh3 0.325 0.163 0.720
Rh4 0.333 0.667 0.849
Rh5 0.667 0.333 0.151
Rh6 0.675 0.837 0.280
Rh7 0.837 0.163 0.720
Rh8 0.837 0.675 0.720

---

Starting from a cell relaxed with PBE, the powder diffraction line list of GaNi3As was calculated for a wavelength of 1.5418 Å.

Principal peaks in the range 15° ≤ 2θ ≤ 90°, low angle first:
two_theta, intensity
37.57, 49
39.17, 41
43.63, 59
43.82, 48
44.33, 100
46.02, 80

Crystal structure
Unit cell a=6.936 b=4.789 c=8.744 alpha=90.00 beta=116.04 gamma=90.00
Fractional positions:
Ga1 0.150 0.234 0.079
Ga2 0.150 0.266 0.579
Ga3 0.850 0.734 0.421
Ga4 0.850 0.766 0.921
Ni1 0.017 0.573 0.217
Ni2 0.017 0.927 0.717
Ni3 0.243 0.739 0.035
Ni4 0.243 0.761 0.535
Ni5 0.356 0.194 0.916
Ni6 0.356 0.306 0.416
Ni7 0.644 0.694 0.584
Ni8 0.644 0.806 0.084
Ni9 0.757 0.239 0.465
Ni10 0.757 0.261 0.965
Ni11 0.983 0.073 0.283
Ni12 0.983 0.427 0.783
As1 0.353 0.678 0.822
As2 0.353 0.822 0.322
As3 0.647 0.178 0.678
As4 0.647 0.322 0.178

---

Starting from a cell relaxed with PBE, the powder diffraction line list of NpGa2Ni7As2 was calculated for a wavelength of 1.5418 Å.

Principal peaks in the range 15° ≤ 2θ ≤ 90°, low angle first:
two_theta, intensity
40.08, 59
41.52, 100
45.99, 59
46.79, 26
52.82, 26
80.15, 32

Crystal structure
Unit cell a=3.952 b=3.952 c=10.876 alpha=90.00 beta=90.00 gamma=93.09
Fractional positions:
Np1 0.000 0.000 0.000
Ga1 0.000 0.000 0.326
Ga2 0.000 0.000 0.674
Ni1 0.000 0.500 0.176
Ni2 0.000 0.500 0.824
Ni3 0.265 0.265 0.500
Ni4 0.500 0.000 0.176
Ni5 0.500 0.000 0.824
Ni6 0.500 0.500 0.000
Ni7 0.735 0.735 0.500
As1 0.500 0.500 0.311
As2 0.500 0.500 0.689